Diffraction record for Cs6In3Br14. The powder X-ray diffraction pattern is theoretical, not measured: it uses a DFT-relaxed cell (PBE, Alexandria) and Cu Ka.
Intensities are scaled so that the largest is 100.

Cell and atoms:
Cell: 13.0557 13.0557 7.1766 Å, 90.00 90.00 120.00°
Sites, in units of the cell vectors:
Cs 0.0366 0.4713 0.0000
Cs 0.3130 0.2077 0.5357
Cs 0.4348 0.9634 0.0000
Cs 0.5287 0.5652 0.0000
Cs 0.7923 0.1052 0.5357
Cs 0.8948 0.6870 0.5357
In 0.0000 0.0000 0.0990
In 0.3333 0.6667 0.5806
In 0.6667 0.3333 0.2373
Br 0.0000 0.0000 0.7433
Br 0.0746 0.2081 0.2247
Br 0.1335 0.9254 0.2247
Br 0.1851 0.7498 0.7076
Br 0.2502 0.4352 0.7076
Br 0.3333 0.6667 0.1962
Br 0.4651 0.2594 0.0281
Br 0.5388 0.1339 0.4515
Br 0.5648 0.8149 0.7076
Br 0.5951 0.4612 0.4515
Br 0.7406 0.2057 0.0281
Br 0.7919 0.8665 0.2247
Br 0.7943 0.5349 0.0281
Br 0.8661 0.4049 0.4515

The 12 most intense peaks (2θ = 10–90°), low angle first:
| 2theta | I_rel |
| --- | --- |
| 13.6 | 38 |
| 14.6 | 39 |
| 18.4 | 49 |
| 20.0 | 100 |
| 24.2 | 65 |
| 26.7 | 93 |
| 27.3 | 50 |
| 28.4 | 79 |
| 29.5 | 64 |
| 31.1 | 75 |
| 32.6 | 37 |
| 34.1 | 41 |

Diffraction record for Pm12Y5Pu. The powder X-ray diffraction pattern is theoretical, not measured: it uses a DFT-relaxed cell (PBE, Alexandria) and Cu Ka.
Intensities are scaled so that the largest is 100.

Cell and atoms:
Cell: 10.6025 10.6025 5.9829 Å, 90.03 90.03 116.11°
Sites, in units of the cell vectors:
Pm 0.0037 0.6736 0.9971
Pm 0.1572 0.1572 0.4963
Pm 0.1701 0.5022 0.5027
Pm 0.3264 0.9963 0.0029
Pm 0.3345 0.3345 0.9963
Pm 0.4978 0.8299 0.4973
Pm 0.5022 0.1701 0.5027
Pm 0.6655 0.6655 0.0037
Pm 0.6736 0.0037 0.9971
Pm 0.8299 0.4978 0.4973
Pm 0.8428 0.8428 0.5037
Pm 0.9963 0.3264 0.0029
Y 0.1686 0.8314 0.5000
Y 0.3335 0.6665 0.0000
Y 0.5000 0.5000 0.5000
Y 0.6665 0.3335 0.0000
Y 0.8314 0.1686 0.5000
Pu 0.0000 0.0000 0.0000

The 12 most intense peaks (2θ = 10–90°), low angle first:
| 2theta | I_rel |
| --- | --- |
| 29.8 | 60 |
| 31.9 | 100 |
| 42.7 | 23 |
| 48.7 | 8 |
| 54.3 | 34 |
| 54.3 | 11 |
| 58.2 | 18 |
| 66.7 | 12 |
| 70.2 | 5 |
| 70.3 | 5 |
| 80.3 | 7 |
| 86.8 | 6 |

Diffraction record for GaGeS2. The powder X-ray diffraction pattern is theoretical, not measured: it uses a DFT-relaxed cell (PBE, Alexandria) and Cu Ka.
Intensities are scaled so that the largest is 100.

Cell and atoms:
Cell: 6.1101 6.1101 6.1101 Å, 104.67 104.67 119.58°
Sites, in units of the cell vectors:
Ga 0.2500 0.7500 0.5000
Ga 0.7500 0.2500 0.5000
Ge 0.0000 0.0000 0.0000
Ge 0.5000 0.5000 0.0000
S 0.1647 0.6647 0.8294
S 0.3353 0.1647 0.5000
S 0.6647 0.8353 0.5000
S 0.8353 0.3353 0.1706

The 12 most intense peaks (2θ = 10–90°), low angle first:
| 2theta | I_rel |
| --- | --- |
| 23.8 | 71 |
| 30.5 | 30 |
| 33.7 | 76 |
| 34.0 | 58 |
| 48.6 | 100 |
| 48.8 | 10 |
| 55.0 | 29 |
| 60.2 | 9 |
| 70.9 | 13 |
| 71.3 | 17 |
| 81.4 | 20 |
| 85.9 | 16 |

Number 1 is which compound? Cs6In3Br14